# Cr2Ag5F12
Theoretical powder diffraction line list, Cu Kα. Input: a cell relaxed with GGA+U.
Peak positions follow from Bragg's law for the DFT cell and can differ from measured ones.

Atomic structure:
Unit cell a=12.6327 b=6.1700 c=7.9585 alpha=90.00 beta=104.41 gamma=90.00
Space group C2/m (No. 12)
Unique sites:
Cr 0.0000 0.2492 0.0000 (multiplicity 4)
Ag 0.0000 0.0000 0.5000 (multiplicity 2)
Ag 0.2019 0.5000 0.3802 (multiplicity 4)
Ag 0.2091 0.5000 0.7677 (multiplicity 4)
F 0.0221 0.0000 0.8547 (multiplicity 4)
F 0.0217 0.5000 0.8525 (multiplicity 4)
F 0.1323 0.2370 0.5544 (multiplicity 8)
F 0.1524 0.2574 0.1116 (multiplicity 8)

Peak list (12 most intense, 10° ≤ 2θ ≤ 80°, by intensity)
- 2θ 26.19, rel. 100, hkl 3 1 0
- 2θ 26.70, rel. 89, hkl 1 1 -2
- 2θ 36.91, rel. 54, hkl 1 1 -3
- 2θ 49.96, rel. 50, hkl 4 2 -3
- 2θ 31.24, rel. 42, hkl 0 2 1
- 2θ 26.35, rel. 40, hkl 3 1 -1
- 2θ 24.03, rel. 33, hkl 2 0 -2
- 2θ 30.33, rel. 30, hkl 2 0 2
- 2θ 42.42, rel. 29, hkl 2 2 2
- 2θ 49.67, rel. 29, hkl 3 3 0
- 2θ 28.94, rel. 27, hkl 0 2 0
- 2θ 32.51, rel. 25, hkl 2 2 0